1.
This entry pairs a crystal structure of La2BePt3 with its computed powder X-ray diffraction pattern. Radiation: CuKα. Structure: a crystal structure in Alexandria, relaxed with PBE.
Lines closer than 0.1° are merged.

Most intense lines, 2θ = 15–90°, in order of falling intensity:
| Position (°2θ) | I/Imax |
| --- | --- |
| 32.68 | 100 |
| 41.53 | 52 |
| 32.50 | 51 |
| 62.92 | 31 |
| 45.04 | 25 |
| 63.22 | 25 |
| 41.96 | 24 |
| 23.25 | 21 |
| 22.08 | 20 |
| 54.06 | 19 |

Atomic structure:
```
La2BePt3
1.0
0.000 4.306 7.557
4.026 0.000 7.557
4.026 4.306 0.000
La Be Pt
4 2 6
Direct
0.250 0.250 0.250 La
0.250 0.750 0.750 La
0.750 0.250 0.250 La
0.750 0.750 0.750 La
0.169 0.169 0.831 Be
0.831 0.831 0.169 Be
0.129 0.688 0.312 Pt
0.312 0.871 0.129 Pt
0.317 0.317 0.683 Pt
0.683 0.683 0.317 Pt
0.688 0.129 0.871 Pt
0.871 0.312 0.688 Pt
```


2.
This entry pairs a crystal structure of MnV6Ge with its computed powder X-ray diffraction pattern. Radiation: CuKα. Structure: a crystal structure in Alexandria, relaxed with PBE.
Lines closer than 0.1° are merged.

Most intense lines, 2θ = 15–90°, in order of falling intensity:
| Position (°2θ) | I/Imax |
| --- | --- |
| 42.96 | 100 |
| 47.29 | 100 |
| 38.23 | 48 |
| 75.57 | 45 |
| 72.37 | 19 |
| 81.84 | 15 |
| 69.12 | 5 |
| 26.78 | 4 |
| 32.95 | 2 |
| 62.37 | 1 |

Atomic structure:
```
MnV6Ge
1.0
4.708 0.000 0.000
0.000 4.708 0.000
0.000 0.000 4.708
Mn V Ge
1 6 1
Direct
0.000 0.000 0.000 Mn
0.000 0.500 0.242 V
0.000 0.500 0.758 V
0.242 0.000 0.500 V
0.500 0.242 0.000 V
0.500 0.758 0.000 V
0.758 0.000 0.500 V
0.500 0.500 0.500 Ge
```


3.
This entry pairs a crystal structure of Tm4CdFe with its computed powder X-ray diffraction pattern. Radiation: CuKα. Structure: a crystal structure in Alexandria, relaxed with PBE.
Lines closer than 0.1° are merged.

Most intense lines, 2θ = 15–90°, in order of falling intensity:
| Position (°2θ) | I/Imax |
| --- | --- |
| 33.55 | 100 |
| 32.65 | 71 |
| 30.91 | 63 |
| 37.23 | 37 |
| 36.94 | 29 |
| 38.72 | 28 |
| 28.79 | 26 |
| 30.47 | 25 |
| 57.61 | 23 |
| 39.87 | 19 |

Atomic structure:
```
Tm4CdFe
1.0
4.303 -6.203 0.000
4.303 6.203 0.000
-1.721 0.000 5.707
Tm Cd Fe
8 2 2
Direct
0.060 0.731 0.955 Tm
0.197 0.358 0.609 Tm
0.269 0.940 0.545 Tm
0.358 0.197 0.109 Tm
0.642 0.803 0.891 Tm
0.731 0.060 0.455 Tm
0.803 0.642 0.391 Tm
0.940 0.269 0.045 Tm
0.374 0.626 0.250 Cd
0.626 0.374 0.750 Cd
0.001 0.999 0.750 Fe
0.999 0.001 0.250 Fe
```


4.
This entry pairs a crystal structure of AgAu with its computed powder X-ray diffraction pattern. Radiation: CuKα. Structure: a crystal structure in Alexandria, relaxed with PBE.
Lines closer than 0.1° are merged.

Most intense lines, 2θ = 15–90°, in order of falling intensity:
| Position (°2θ) | I/Imax |
| --- | --- |
| 37.27 | 100 |
| 37.40 | 92 |
| 40.71 | 40 |
| 46.21 | 35 |
| 69.59 | 25 |
| 40.88 | 24 |
| 50.12 | 24 |
| 32.15 | 23 |
| 72.75 | 21 |
| 18.36 | 18 |

Atomic structure:
```
AgAu
1.0
2.772 -4.831 0.000
2.772 4.831 0.000
0.000 0.000 5.569
Ag Au
4 4
Direct
0.214 0.786 0.901 Ag
0.286 0.714 0.401 Ag
0.714 0.286 0.599 Ag
0.786 0.214 0.099 Ag
0.214 0.286 0.750 Au
0.286 0.214 0.250 Au
0.714 0.786 0.750 Au
0.786 0.714 0.250 Au
```